1.
Starting from a GGA-PBE-relaxed structure, the powder X-ray diffraction pattern of Pm6Er2Tl was calculated for λ = 1.5418 Å (Cu Kα).

Most intense lines, 2θ = 5–70°, by angle:
hkl 3 0 1, 30.66°, I = 100
hkl 3 3 0, 35.24°, I = 34
hkl 0 0 2, 36.16°, I = 16
hkl 6 0 0, 50.69°, I = 12
hkl 3 3 2, 51.38°, I = 24
hkl 6 3 1, 60.41°, I = 29
hkl 3 0 3, 61.65°, I = 14
hkl 6 0 2, 63.84°, I = 12

Structure:
Cell: 10.8064 10.8064 4.9677 Å, 90.00 90.00 90.00°
Space group P4_2/mnm (No. 136)
Symmetry-distinct sites (fractional):
Pm: 0.0024 0.3340 0.0000 [8 per cell]
Pm: 0.1588 0.1588 0.5000 [4 per cell]
Er: 0.1637 0.8363 0.5000 [4 per cell]
Tl: 0.0000 0.0000 0.0000 [2 per cell]

---

2.
Starting from a GGA-PBE-relaxed structure, the powder X-ray diffraction pattern of AcNdSm2Dy2 was calculated for λ = 1.5418 Å (Cu Kα).

Most intense lines, 2θ = 5–70°, by angle:
hkl 0 1 1, 26.01°, I = 42
hkl 2 2 0, 28.32°, I = 100
hkl 0 6 0, 29.31°, I = 85
hkl 0 3 1, 29.51°, I = 58
hkl 1 2 1, 30.49°, I = 46
hkl 2 4 0, 33.11°, I = 53
hkl 1 4 1, 35.01°, I = 50
hkl 2 3 1, 40.11°, I = 65

Structure:
Cell: 6.7138 18.2849 3.4880 Å, 90.00 90.00 90.00°
Space group Pnnm (No. 58)
Symmetry-distinct sites (fractional):
Ac: 0.0000 0.0000 0.0000 [2 per cell]
Nd: 0.0000 0.5000 0.0000 [2 per cell]
Sm: 0.2047 0.3469 0.5000 [4 per cell]
Dy: 0.2098 0.1850 0.0000 [4 per cell]